Theoretical PXRD pattern
Compound: Mg3ZrRh3
Radiation: CuKα
Structure: a DFT-relaxed cell (GGA-PBE, Alexandria)
Intensities are scaled so that the largest is 1000.

Most intense lines, 2θ = 10–90°, by intensity:
- 2θ 40.64, I 1000
- 2θ 13.96, I 372
- 2θ 40.04, I 258
- 2θ 40.38, I 256
- 2θ 19.71, I 208
- 2θ 58.17, I 167
- 2θ 73.60, I 164
- 2θ 73.14, I 161
- 2θ 28.14, I 126
- 2θ 31.66, I 106
- 2θ 87.98, I 102
- 2θ 35.17, I 101

Structure:
Cell: 8.934 9.008 6.217 Å, 90.00 90.00 90.00°
Space group Cmmm (No. 65)
Inequivalent atoms, fractional coordinates:
Mg 0.000 0.242 0.000 [4 per cell]
Mg 0.243 0.000 0.500 [4 per cell]
Mg 0.245 0.000 0.000 [4 per cell]
Zr 0.000 0.262 0.500 [4 per cell]
Rh 0.000 0.500 0.243 [4 per cell]
Rh 0.250 0.250 0.247 [8 per cell]

Theoretical PXRD pattern
Compound: K2PaAs2O7
Radiation: CuKα
Structure: a DFT-relaxed cell (GGA-PBE, Alexandria)
Intensities are scaled so that the largest is 1000.

Most intense lines, 2θ = 10–90°, by intensity:
- 2θ 10.70, I 1000
- 2θ 18.46, I 703
- 2θ 29.69, I 601
- 2θ 24.77, I 463
- 2θ 30.50, I 421
- 2θ 43.08, I 288
- 2θ 22.28, I 268
- 2θ 31.64, I 245
- 2θ 53.79, I 207
- 2θ 53.19, I 182
- 2θ 37.43, I 144
- 2θ 46.69, I 138

Structure:
Cell: 6.0185 6.0185 24.8085 Å, 90.00 90.00 120.00°
Space group R-3m (No. 166, hexagonal axes)
Inequivalent atoms, fractional coordinates:
K 0.0000 0.0000 0.2250 [6 per cell]
Pa 0.0000 0.0000 0.5000 [3 per cell]
As 0.0000 0.0000 0.0815 [6 per cell]
O 0.0000 0.0000 0.0000 [3 per cell]
O 0.0182 0.5091 0.7850 [18 per cell]

Theoretical PXRD pattern
Compound: La3Ce2Pb3
Radiation: CuKα
Structure: a DFT-relaxed cell (GGA-PBE, Alexandria)
Intensities are scaled so that the largest is 1000.

Most intense lines, 2θ = 10–90°, by intensity:
- 2θ 31.27, I 1000
- 2θ 32.64, I 888
- 2θ 32.05, I 712
- 2θ 41.14, I 298
- 2θ 26.77, I 271
- 2θ 50.18, I 270
- 2θ 65.23, I 219
- 2θ 28.18, I 202
- 2θ 46.40, I 202
- 2θ 55.16, I 198
- 2θ 61.99, I 182
- 2θ 10.56, I 176

Structure:
Cell: 9.6747 9.6747 6.6614 Å, 90.00 90.00 120.00°
Space group P6_3/mcm (No. 193)
Inequivalent atoms, fractional coordinates:
La 0.0000 0.2577 0.2500 [6 per cell]
Ce 0.3333 0.6667 0.0000 [4 per cell]
Pb 0.0000 0.3873 0.7500 [6 per cell]